# NaB11
Calculated powder diffractogram, copper Kα. Input: a cell relaxed with GGA-PBE.
Lines closer than 0.1° are merged.

Atomic structure:
Cell lengths 6.365, 6.365, 6.365 Å; angles 115.27, 115.27, 98.41 degrees
Atoms (fractional coordinates):
Na (0.375, 0.625, 0.750)
Na (0.625, 0.375, 0.250)
B (0.000, 0.000, 0.000)
B (0.000, 0.000, 0.500)
B (0.000, 0.500, 0.000)
B (0.125, 0.875, 0.250)
B (0.143, 0.551, 0.321)
B (0.143, 0.822, 0.592)
B (0.178, 0.270, 0.321)
B (0.178, 0.857, 0.908)
B (0.270, 0.178, 0.821)
B (0.270, 0.449, 0.092)
B (0.449, 0.270, 0.592)
B (0.449, 0.857, 0.179)
B (0.500, 0.000, 0.500)
B (0.551, 0.143, 0.821)
B (0.551, 0.730, 0.408)
B (0.730, 0.551, 0.908)
B (0.730, 0.822, 0.179)
B (0.822, 0.143, 0.092)
B (0.822, 0.730, 0.679)
B (0.857, 0.178, 0.408)
B (0.857, 0.449, 0.679)
B (0.875, 0.125, 0.750)

Principal peaks in the range 10° ≤ 2θ ≤ 80°, in order of rising 2θ:
two_theta, I_rel
28.35, 58
31.26, 27
34.94, 100
47.52, 93
49.45, 24
51.49, 16
58.62, 31
60.79, 27
65.21, 15
70.13, 14